For Pu2F5, a crystal structure in Alexandria, relaxed with PBE gives the computed XRD peak list in this record (Cu Ka).

Most intense lines, 2θ from 5° to 70°, sorted by position:
d 3.340, intensity 100
d 3.054, intensity 18
d 3.030, intensity 18
d 2.650, intensity 14
d 2.151, intensity 22
d 2.002, intensity 18
d 1.995, intensity 18
d 1.814, intensity 21
d 1.803, intensity 21
d 1.634, intensity 14

Cell and atoms:
```
data_Pu2F5
_symmetry_space_group_name_H-M 'I b a m'
_symmetry_Int_Tables_number 72
_symmetry_space_group_name_Hall '-I 2 2c'
_cell_length_a 6.109
_cell_length_b 12.119
_cell_length_c 5.299
_cell_angle_alpha 90.00
_cell_angle_beta 90.00
_cell_angle_gamma 90.00
loop_
_atom_site_label
_atom_site_fract_x
_atom_site_fract_y
_atom_site_fract_z
Pu1 0.243 0.122 0.000
F1 0.000 0.262 0.250
F2 0.000 0.500 0.250
F3 0.151 0.079 0.500
```

---

For Rb3Pu6F20, a crystal structure in Alexandria, relaxed with PBE gives the computed XRD peak list in this record (Cu Ka).

Most intense lines, 2θ from 5° to 70°, sorted by position:
d 6.206, intensity 24
d 3.583, intensity 100
d 3.103, intensity 56
d 2.389, intensity 11
d 2.194, intensity 56
d 1.871, intensity 53
d 1.792, intensity 17
d 1.552, intensity 9
d 1.424, intensity 18
d 1.388, intensity 18

Cell and atoms:
```
data_Rb3Pu6F20
_symmetry_space_group_name_H-M 'F m -3 m'
_symmetry_Int_Tables_number 225
_symmetry_space_group_name_Hall '-F 4 2 3'
_cell_length_a 12.413
_cell_length_b 12.413
_cell_length_c 12.413
_cell_angle_alpha 90.00
_cell_angle_beta 90.00
_cell_angle_gamma 90.00
loop_
_atom_site_label
_atom_site_fract_x
_atom_site_fract_y
_atom_site_fract_z
Rb1 0.000 0.000 0.000
Rb2 0.250 0.250 0.250
Pu1 0.000 0.000 0.266
F1 0.000 0.163 0.163
F2 0.112 0.112 0.388
```

---

For RbPuF3, a crystal structure in Alexandria, relaxed with PBE gives the computed XRD peak list in this record (Cu Ka).

Most intense lines, 2θ from 5° to 70°, sorted by position:
d 8.121, intensity 100
d 3.368, intensity 95
d 3.290, intensity 33
d 3.067, intensity 68
d 3.032, intensity 61
d 3.014, intensity 41
d 2.286, intensity 23
d 2.249, intensity 23
d 1.802, intensity 37
d 1.781, intensity 24

Cell and atoms:
```
data_RbPuF3
_symmetry_space_group_name_H-M 'P 1 21/c 1'
_symmetry_Int_Tables_number 14
_cell_length_a 8.123
_cell_length_b 6.028
_cell_length_c 7.854
_cell_angle_alpha 90.00
_cell_angle_beta 91.11
_cell_angle_gamma 90.00
loop_
_symmetry_equiv_pos_as_xyz
'x,y,z'
'-x,-y,-z'
'-x,y+1/2,-z+1/2'
'x,-y+1/2,z+1/2'
loop_
_atom_site_label
_atom_site_fract_x
_atom_site_fract_y
_atom_site_fract_z
Rb1 0.113 0.236 0.381
Pu1 0.416 0.722 0.375
F1 0.122 0.726 0.374
F2 0.333 0.506 0.642
F3 0.360 0.502 0.111
```

---

For Rb5Pu2F12, a crystal structure in Alexandria, relaxed with PBE gives the computed XRD peak list in this record (Cu Ka).

Most intense lines, 2θ from 5° to 70°, sorted by position:
d 6.790, intensity 85
d 6.458, intensity 59
d 3.512, intensity 65
d 3.465, intensity 48
d 3.393, intensity 100
d 3.229, intensity 36
d 3.009, intensity 33
d 2.851, intensity 45
d 2.733, intensity 30
d 1.985, intensity 31

Cell and atoms:
```
data_Rb5Pu2F12
_symmetry_space_group_name_H-M 'C 1 2/m 1'
_symmetry_Int_Tables_number 12
_cell_length_a 14.066
_cell_length_b 8.212
_cell_length_c 7.934
_cell_angle_alpha 90.00
_cell_angle_beta 121.15
_cell_angle_gamma 90.00
loop_
_symmetry_equiv_pos_as_xyz
'x,y,z'
'-x,-y,-z'
'-x,y,-z'
'x,-y,z'
'x+1/2,y+1/2,z'
'-x+1/2,-y+1/2,-z'
'-x+1/2,y+1/2,-z'
'x+1/2,-y+1/2,z'
loop_
_atom_site_label
_atom_site_fract_x
_atom_site_fract_y
_atom_site_fract_z
Rb1 0.000 0.000 0.000
Rb2 0.201 0.500 0.016
Rb3 0.232 0.500 0.491
Pu1 0.000 0.247 0.500
F1 0.002 0.500 0.660
F2 0.077 0.000 0.683
F3 0.082 0.212 0.319
F4 0.184 0.287 0.730
```